Starting from a structure optimized by DFT (PBE+U), the powder diffractogram of UAl2NiO8 was calculated for a wavelength of 1.5418 Å.

Structural model:
```
data_UAl2NiO8
_chemical_formula_sum 'U2 Al4 Ni2 O16'
_space_group_name_H-M_alt 'C m m m'
_space_group_IT_number 65
_space_group_name_Hall '-C 2 2'
_cell_length_a 6.5654
_cell_length_b 6.6700
_cell_length_c 6.0009
_cell_angle_alpha 90.00
_cell_angle_beta 90.00
_cell_angle_gamma 90.00
loop_
_atom_site_label
_atom_site_fract_x
_atom_site_fract_y
_atom_site_fract_z
U1 0.0000 0.0000 0.0000
Al1 0.0000 0.5000 0.2545
Ni1 0.0000 0.0000 0.5000
O1 0.0000 0.3117 0.5000
O2 0.0000 0.3164 0.0000
O3 0.2117 0.0000 0.2552
```

Peak list (10 most intense, 10° ≤ 2θ ≤ 90°, in order of rising 2θ)
hkl 0 0 1, 14.76°, d = 6.001 Å, rel. 41.5
hkl 1 1 0, 18.97°, d = 4.679 Å, rel. 100.0
hkl 1 1 1, 24.12°, d = 3.690 Å, rel. 58.0
hkl 0 2 0, 26.73°, d = 3.335 Å, rel. 61.1
hkl 2 0 0, 27.16°, d = 3.283 Å, rel. 54.3
hkl 1 1 2, 35.54°, d = 2.526 Å, rel. 79.5
hkl 2 0 2, 40.74°, d = 2.215 Å, rel. 37.9
hkl 1 3 0, 42.95°, d = 2.106 Å, rel. 24.7
hkl 1 3 2, 53.14°, d = 1.724 Å, rel. 40.4
hkl 3 1 2, 53.63°, d = 1.709 Å, rel. 38.2